Computed X-ray powder pattern
Compound: LaSm3Se3S4
Radiation: Cu Kα (weighted mean of Kα1 and Kα2)
Structure: DFT lattice parameters and positions (GGA-PBE)

Peak list (10 most intense, 2θ from 5° to 70°, most intense first)
28.55 deg, I 100, (0 1 3)
21.92 deg, I 72, (2 0 2)
42.07 deg, I 44, (0 2 0)
28.06 deg, I 38, (2 1 1)
43.13 deg, I 35, (2 1 5)
33.74 deg, I 29, (2 1 3)
47.89 deg, I 23, (2 2 2)
46.29 deg, I 19, (4 1 3)
35.65 deg, I 16, (4 0 0)
43.60 deg, I 15, (2 0 6)

Crystal structure
```
data_LaSm3Se3S4
_symmetry_space_group_name_H-M 'A m m 2'
_symmetry_Int_Tables_number 38
_cell_length_a 10.074
_cell_length_b 4.299
_cell_length_c 13.670
_cell_angle_alpha 90.00
_cell_angle_beta 90.00
_cell_angle_gamma 90.00
loop_
_symmetry_equiv_pos_as_xyz
'x,y,z'
'-x,-y,z'
'-x,y,z'
'x,-y,z'
'x,y+1/2,z+1/2'
'-x,-y+1/2,z+1/2'
'-x,y+1/2,z+1/2'
'x,-y+1/2,z+1/2'
loop_
_atom_site_label
_atom_site_type_symbol
_atom_site_fract_x
_atom_site_fract_y
_atom_site_fract_z
La1 La 0.000 0.000 0.000
Sm1 Sm 0.240 0.000 0.719
Sm2 Sm 0.500 0.000 0.018
Se1 Se 0.000 0.000 0.339
Se2 Se 0.378 0.000 0.369
S1 S 0.000 0.000 0.628
S2 S 0.249 0.000 0.093
S3 S 0.500 0.000 0.649
```